No. 1
This entry pairs a crystal structure of Rb2Tl2HgBr6 with its calculated powder X-ray diffraction pattern. Radiation: copper Kα. Structure: DFT lattice parameters and positions (GGA-PBE).
No peak broadening, texture or thermal motion is included.

Structural model:
Lattice parameters (Å, degrees): 8.4655 13.9320 8.0395 90.00 109.54 90.00
Space group C2/m (No. 12)
Inequivalent atoms, fractional coordinates:
Rb1 0.0000 0.1625 0.0000 x4
Tl1 0.0000 0.3105 0.5000 x4
Hg1 0.0000 0.5000 0.0000 x2
Br1 0.1803 0.5000 0.7863 x4
Br2 0.2301 0.3450 0.2412 x8

Peak list (10 most intense, 5 to 70 degrees two-theta, sorted by position)
12.78 deg, I 46.6
17.29 deg, I 35.5
26.48 deg, I 44.2
26.83 deg, I 100.0
31.37 deg, I 13.1
34.08 deg, I 13.0
37.29 deg, I 30.3
37.83 deg, I 23.0
38.79 deg, I 48.0
47.58 deg, I 22.0

---

No. 2
This entry pairs a crystal structure of RbUHgBr6 with its calculated powder X-ray diffraction pattern. Radiation: copper Kα. Structure: DFT lattice parameters and positions (GGA-PBE).
No peak broadening, texture or thermal motion is included.

Structural model:
Lattice parameters (Å, degrees): 8.5372 8.5372 13.6164 90.00 90.00 120.00
Space group P-31c (No. 163)
Inequivalent atoms, fractional coordinates:
Rb1 0.3333 0.6667 0.2500 x2
U1 0.3333 0.6667 0.7500 x2
Hg1 0.0000 0.0000 0.0000 x2
Br1 0.0729 0.4099 0.6350 x12

Peak list (10 most intense, 5 to 70 degrees two-theta, sorted by position)
13.63 deg, I 61.9
17.71 deg, I 100.0
20.81 deg, I 27.6
24.62 deg, I 45.2
27.45 deg, I 31.5
33.68 deg, I 75.8
34.70 deg, I 42.8
36.46 deg, I 33.9
37.81 deg, I 19.4
50.47 deg, I 22.9

---

No. 3
This entry pairs a crystal structure of Hg2RhBr8 with its calculated powder X-ray diffraction pattern. Radiation: copper Kα. Structure: DFT lattice parameters and positions (GGA-PBE).
No peak broadening, texture or thermal motion is included.

Structural model:
Lattice parameters (Å, degrees): 15.3977 7.3428 6.7973 90.00 97.00 90.00
Space group C2/m (No. 12)
Inequivalent atoms, fractional coordinates:
Hg1 0.1697 0.0000 0.1430 x4
Rh1 0.0000 0.0000 0.5000 x2
Br1 0.0581 0.2390 0.2863 x8
Br2 0.1431 0.0000 0.7113 x4
Br3 0.1662 0.5000 0.8554 x4

Peak list (10 most intense, 5 to 70 degrees two-theta, sorted by position)
13.38 deg, I 100.0
18.57 deg, I 61.2
19.28 deg, I 43.2
24.24 deg, I 28.5
26.94 deg, I 37.6
29.07 deg, I 36.5
30.37 deg, I 39.8
35.36 deg, I 34.2
37.04 deg, I 45.7
43.22 deg, I 57.4

---

No. 4
This entry pairs a crystal structure of Hg2RhBr with its calculated powder X-ray diffraction pattern. Radiation: copper Kα. Structure: DFT lattice parameters and positions (GGA-PBE).
No peak broadening, texture or thermal motion is included.

Structural model:
Lattice parameters (Å, degrees): 3.0566 4.4392 13.4886 90.00 90.00 90.00
Space group Immm (No. 71)
Inequivalent atoms, fractional coordinates:
Hg1 0.0000 0.0000 0.1844 x4
Rh1 0.0000 0.5000 0.5000 x2
Br1 0.0000 0.5000 0.0000 x2

Peak list (10 most intense, 5 to 70 degrees two-theta, sorted by position)
21.07 deg, I 35.7
28.25 deg, I 65.2
35.51 deg, I 46.7
38.16 deg, I 100.0
39.07 deg, I 31.8
40.11 deg, I 26.0
40.65 deg, I 34.4
55.06 deg, I 27.1
58.43 deg, I 17.3
66.78 deg, I 31.4

---

No. 5
This entry pairs a crystal structure of HgS2Br2 with its calculated powder X-ray diffraction pattern. Radiation: copper Kα. Structure: DFT lattice parameters and positions (GGA-PBE).
No peak broadening, texture or thermal motion is included.

Structural model:
Lattice parameters (Å, degrees): 4.2807 7.2012 7.7496 114.78 102.50 94.60
Space group P-1 (No. 2)
Inequivalent atoms, fractional coordinates:
Hg1 0.0000 0.0000 0.0000 x1
S1 0.0323 0.8834 0.3919 x2
Br1 0.2610 0.6965 0.8630 x2

Peak list (10 most intense, 5 to 70 degrees two-theta, sorted by position)
13.09 deg, I 100.0
13.80 deg, I 56.0
14.14 deg, I 58.5
21.67 deg, I 34.4
23.61 deg, I 74.8
25.14 deg, I 26.0
27.99 deg, I 48.8
28.44 deg, I 26.8
34.85 deg, I 26.9
37.12 deg, I 27.6

---

No. 6
This entry pairs a crystal structure of Hg6S5Br2 with its calculated powder X-ray diffraction pattern. Radiation: copper Kα. Structure: DFT lattice parameters and positions (GGA-PBE).
No peak broadening, texture or thermal motion is included.

Structural model:
Lattice parameters (Å, degrees): 19.4262 7.8489 12.7935 90.00 124.51 90.00
Space group C2/c (No. 15)
Inequivalent atoms, fractional coordinates:
Hg1 0.0643 0.0014 0.1851 x8
Hg2 0.1660 0.2248 0.0262 x8
Hg3 0.1807 0.3941 0.3147 x8
S1 0.0000 0.1964 0.7500 x4
S2 0.0776 0.2762 0.1072 x8
S3 0.2429 0.0168 0.9778 x8
Br1 0.1654 0.2472 0.6653 x8

Peak list (10 most intense, 5 to 70 degrees two-theta, sorted by position)
12.56 deg, I 73.4
16.79 deg, I 49.0
20.12 deg, I 50.1
23.46 deg, I 51.4
25.32 deg, I 77.9
27.35 deg, I 61.4
28.07 deg, I 56.3
29.58 deg, I 100.0
31.15 deg, I 75.5
31.97 deg, I 62.0

---

No. 7
This entry pairs a crystal structure of HgSb2S2Br2 with its calculated powder X-ray diffraction pattern. Radiation: copper Kα. Structure: DFT lattice parameters and positions (GGA-PBE).
No peak broadening, texture or thermal motion is included.

Structural model:
Lattice parameters (Å, degrees): 3.8008 7.8111 8.7407 65.59 81.48 77.92
Space group P-1 (No. 2)
Inequivalent atoms, fractional coordinates:
Hg1 0.0000 0.0000 0.0000 x1
Sb1 0.4186 0.6345 0.5814 x2
S1 0.0993 0.1787 0.6018 x2
Br1 0.2812 0.2536 0.0264 x2

Peak list (10 most intense, 5 to 70 degrees two-theta, sorted by position)
13.13 deg, I 70.7
19.93 deg, I 78.2
22.39 deg, I 100.0
25.81 deg, I 36.6
29.03 deg, I 47.0
29.89 deg, I 50.4
36.05 deg, I 27.1
38.87 deg, I 30.8
39.07 deg, I 35.8
42.39 deg, I 30.2

---

No. 8
This entry pairs a crystal structure of Hg3SbBr with its calculated powder X-ray diffraction pattern. Radiation: copper Kα. Structure: DFT lattice parameters and positions (GGA-PBE).
No peak broadening, texture or thermal motion is included.

Structural model:
Lattice parameters (Å, degrees): 7.7635 7.7635 19.9808 90.00 90.00 120.00
Space group R3c (No. 161, hexagonal axes)
Inequivalent atoms, fractional coordinates:
Hg1 0.0001 0.3984 0.0000 x18
Sb1 0.0000 0.0000 0.2500 x6
Br1 0.0000 0.0000 0.4994 x6

Peak list (10 most intense, 5 to 70 degrees two-theta, sorted by position)
15.89 deg, I 22.8
26.58 deg, I 100.0
26.77 deg, I 27.9
28.00 deg, I 18.3
32.09 deg, I 45.5
35.56 deg, I 41.1
40.24 deg, I 26.5
45.23 deg, I 17.7
47.16 deg, I 21.9
49.04 deg, I 27.8